1.
Diffraction record for Na2Zn7Au12. The X-ray diffraction stick pattern is theoretical, not measured: it uses a crystal structure in Alexandria, relaxed with GGA-PBE and Cu Kα (weighted mean of Kα1 and Kα2).
Neutral-atom scattering factors, no anomalous dispersion.

The 10 most intense peaks (10 to 90 degrees two-theta), sorted by position:
| 2θ/deg | Rel. int. |
| --- | --- |
| 16.36 | 27 |
| 25.08 | 14 |
| 34.39 | 100 |
| 41.94 | 52 |
| 44.23 | 29 |
| 45.27 | 16 |
| 47.24 | 16 |
| 65.01 | 12 |
| 66.71 | 15 |
| 75.03 | 17 |

Structure:
```
Na2Zn7Au12
1.0
10.835 0.000 0.000
-5.418 9.383 0.000
0.000 0.000 3.848
Na Zn Au
2 7 12
Direct
0.333 0.667 0.245
0.667 0.333 0.755
0.000 0.000 0.500
0.125 0.710 0.741
0.290 0.416 0.741
0.416 0.125 0.259
0.584 0.875 0.741
0.710 0.584 0.259
0.875 0.290 0.259
0.067 0.447 0.752
0.107 0.257 0.237
0.150 0.893 0.237
0.257 0.150 0.763
0.380 0.933 0.752
0.447 0.380 0.248
0.553 0.620 0.752
0.620 0.067 0.248
0.743 0.850 0.237
0.850 0.107 0.763
0.893 0.743 0.763
0.933 0.553 0.248
```

2.
Diffraction record for Pu4Cu3Pd. The X-ray diffraction stick pattern is theoretical, not measured: it uses a crystal structure in Alexandria, relaxed with GGA-PBE and Cu Kα (weighted mean of Kα1 and Kα2).
Neutral-atom scattering factors, no anomalous dispersion.

The 10 most intense peaks (10 to 90 degrees two-theta), sorted by position:
| 2θ/deg | Rel. int. |
| --- | --- |
| 26.50 | 45 |
| 32.68 | 100 |
| 33.20 | 19 |
| 34.48 | 54 |
| 39.42 | 29 |
| 40.53 | 24 |
| 42.02 | 25 |
| 48.35 | 17 |
| 53.36 | 15 |
| 55.42 | 36 |

Structure:
```
Pu4Cu3Pd
1.0
3.765 0.000 0.000
0.000 4.301 0.000
0.000 0.000 10.793
Pu Cu Pd
4 3 1
Direct
0.000 0.000 0.000
0.000 0.500 0.296
0.500 0.000 0.492
0.500 0.500 0.799
0.000 0.500 0.575
0.500 0.000 0.211
0.500 0.500 0.084
0.000 0.000 0.716
```

3.
Diffraction record for Mn4NiSb. The X-ray diffraction stick pattern is theoretical, not measured: it uses a crystal structure in Alexandria, relaxed with GGA-PBE and Cu Kα (weighted mean of Kα1 and Kα2).
Neutral-atom scattering factors, no anomalous dispersion.

The 10 most intense peaks (10 to 90 degrees two-theta), sorted by position:
| 2θ/deg | Rel. int. |
| --- | --- |
| 22.78 | 6 |
| 26.36 | 5 |
| 37.62 | 47 |
| 44.43 | 100 |
| 46.52 | 25 |
| 59.59 | 2 |
| 61.30 | 2 |
| 67.90 | 15 |
| 72.65 | 28 |
| 80.31 | 22 |

Structure:
```
Mn4NiSb
1.0
0.000 3.381 3.381
3.381 0.000 3.381
3.381 3.381 0.000
Mn Ni Sb
4 1 1
Direct
0.125 0.125 0.125
0.125 0.125 0.624
0.125 0.624 0.125
0.624 0.125 0.125
0.500 0.500 0.500
0.750 0.750 0.750
```

4.
Diffraction record for Ag4F. The X-ray diffraction stick pattern is theoretical, not measured: it uses a crystal structure in Alexandria, relaxed with GGA-PBE and Cu Kα (weighted mean of Kα1 and Kα2).
Neutral-atom scattering factors, no anomalous dispersion.

The 10 most intense peaks (10 to 90 degrees two-theta), sorted by position:
| 2θ/deg | Rel. int. |
| --- | --- |
| 33.37 | 28 |
| 33.83 | 38 |
| 36.99 | 65 |
| 37.30 | 46 |
| 37.94 | 100 |
| 38.68 | 30 |
| 39.60 | 63 |
| 47.21 | 27 |
| 52.55 | 29 |
| 55.47 | 25 |

Structure:
```
Ag4F
1.0
4.851 0.000 0.000
0.000 2.953 0.000
-0.668 0.000 6.004
Ag F
4 1
Direct
0.188 0.000 0.205
0.263 0.500 0.624
0.737 0.500 0.376
0.812 0.000 0.795
0.500 0.500 0.000
```